Theoretical powder diffraction line list of AcTl4Br7 for λ = 1.5418 Å (Cu Kα), from a cell relaxed with PBE.
Kinematic intensities with the Lorentz-polarization factor, no thermal factor.

Main lines, by angle (2θ = 15–90°):
h k l	two_theta	Rel. int.
1 0 -1	17.92	78.6
1 1 2	19.46	78.3
0 1 -2	20.56	86.8
0 2 1	22.48	100.0
2 1 1	29.32	80.8
2 3 2	38.16	45.0

Atomic structure:
```
AcTl4Br7
1.0
6.113 0.000 0.000
2.741 8.002 0.000
2.109 2.212 11.679
Ac Tl Br
1 4 7
Cartesian
0.000 0.000 0.000
2.937 3.618 2.024
5.114 7.423 5.196
5.849 2.792 6.483
8.026 6.597 9.655
2.812 6.770 2.763
2.551 2.452 4.952
4.925 7.402 10.537
3.057 0.000 0.000
6.038 2.813 1.142
8.412 7.763 6.727
8.151 3.445 8.916
```


Theoretical powder diffraction line list of AcVBr2 for λ = 1.5418 Å (Cu Kα), from a cell relaxed with PBE.
Kinematic intensities with the Lorentz-polarization factor, no thermal factor.

Main lines, by angle (2θ = 15–90°):
h k l	two_theta	Rel. int.
0 0 6	18.81	40.0
1 0 1	26.32	100.0
0 1 2	26.88	93.7
0 1 8	36.59	86.7
1 0 10	41.45	45.7
1 1 0	46.09	48.7

Atomic structure:
```
AcVBr2
1.0
3.939 0.000 0.000
-1.969 3.411 0.000
0.000 0.000 28.312
Ac V Br
3 3 6
Cartesian
0.000 0.000 0.000
0.000 2.274 18.875
1.969 1.137 9.437
0.000 0.000 14.156
0.000 2.274 4.719
1.969 1.137 23.593
0.000 0.000 3.278
0.000 0.000 25.034
0.000 2.274 15.597
0.000 2.274 22.153
1.969 1.137 6.159
1.969 1.137 12.715
```